Diffraction record for GdFe10Mo2N. The powder X-ray diffraction pattern is calculated, not measured: it uses a DFT-relaxed cell (GGA-PBE, Alexandria) and Cu Kα (λ = 1.5418 Å).
Intensities are scaled so that the largest is 100.

Cell and atoms:
Cell lengths 6.5686, 6.5686, 6.5686 Å; angles 137.37, 97.91, 97.27 degrees
Fractional positions:
Gd 0.0000 0.0000 0.0000
Fe 0.0000 0.0000 0.5000
Fe 0.0000 0.5000 0.0000
Fe 0.2204 0.7204 0.5000
Fe 0.2224 0.5000 0.7224
Fe 0.3602 0.3602 0.0000
Fe 0.5000 0.0000 0.0000
Fe 0.5000 0.5000 0.5000
Fe 0.6398 0.6398 0.0000
Fe 0.7776 0.5000 0.2776
Fe 0.7796 0.2796 0.5000
Mo 0.3586 0.0000 0.3586
Mo 0.6414 0.0000 0.6414
N 0.0000 0.5000 0.5000

Top 8 peaks for 2θ = 10–90°, low angle first:
two_theta  I_rel
36.30  32
36.47  30
37.68  22
41.61  35
41.89  21
42.15  100
43.28  75
48.36  22